1.
Calculated X-ray diffraction stick pattern
Compound: Tb2Y6HoSc
Radiation: CuKα
Structure: DFT lattice parameters and positions (PBE)

Atomic structure:
```
20
Lattice="4.527 -7.406 0.000 4.527 7.406 0.000 -1.423 0.000 9.424" Properties=species:S:1:pos:R:3 pbc="T T T"
Tb 2.186 0.739 0.451
Tb 1.475 -0.739 5.163
Tb 6.155 0.739 4.261
Tb 5.444 -0.739 8.973
Y 2.324 4.158 1.782
Y 3.174 4.648 5.237
Y 3.744 4.648 8.899
Y 3.071 1.555 3.623
Y 6.018 4.158 2.930
Y 5.270 1.555 1.090
Y 2.360 -1.555 8.335
Y 1.612 -4.158 6.495
Y 4.559 -1.555 5.802
Y 3.886 -4.648 0.525
Y 4.456 -4.648 4.187
Y 5.306 -4.158 7.642
Ho 4.171 7.095 2.356
Ho 3.459 -7.095 7.068
Sc 3.459 1.306 7.068
Sc 4.171 -1.306 2.356
```

Peak list (10 most intense, 2θ = 10–90°, in order of rising 2θ)
2θ = 28.08°, 3.178 Å, I = 46; 2θ = 29.02°, 3.077 Å, I = 64; 2θ = 30.64°, 2.918 Å, I = 65; 2θ = 30.92°, 2.892 Å, I = 56; 2θ = 31.86°, 2.809 Å, I = 99; 2θ = 31.94°, 2.802 Å, I = 100; 2θ = 32.80°, 2.730 Å, I = 44; 2θ = 33.64°, 2.664 Å, I = 46; 2θ = 34.05°, 2.633 Å, I = 44; 2θ = 38.52°, 2.337 Å, I = 38



2.
Calculated X-ray diffraction stick pattern
Compound: Ho3Sc7Tc4
Radiation: CuKα
Structure: DFT lattice parameters and positions (PBE)

Atomic structure:
```
14
Lattice="8.979 -1.807 0.000 8.979 1.807 0.000 -5.913 0.000 9.525" Properties=species:S:1:pos:R:3 pbc="T T T"
Ho 0.000 0.000 0.000
Ho 3.617 0.000 2.880
Ho 8.427 0.000 6.645
Sc -2.957 0.000 4.762
Sc 0.498 0.000 3.940
Sc -0.070 0.000 9.415
Sc 4.498 0.000 7.071
Sc 7.546 0.000 2.454
Sc 12.114 0.000 0.110
Sc 11.546 0.000 5.585
Tc -2.553 0.000 7.549
Tc 1.770 0.000 7.422
Tc 10.274 0.000 2.102
Tc 14.597 0.000 1.976
```

Peak list (10 most intense, 2θ = 10–90°, in order of rising 2θ)
2θ = 15.91°, 5.569 Å, I = 34; 2θ = 18.34°, 4.838 Å, I = 25; 2θ = 18.63°, 4.762 Å, I = 38; 2θ = 30.35°, 2.945 Å, I = 33; 2θ = 33.47°, 2.677 Å, I = 70; 2θ = 34.51°, 2.599 Å, I = 44; 2θ = 34.64°, 2.589 Å, I = 57; 2θ = 35.37°, 2.538 Å, I = 100; 2θ = 43.20°, 2.094 Å, I = 28; 2θ = 50.52°, 1.807 Å, I = 28



3.
Calculated X-ray diffraction stick pattern
Compound: Ho2ScTc
Radiation: CuKα
Structure: DFT lattice parameters and positions (PBE)

Atomic structure:
```
16
Lattice="7.183 0.000 0.000 0.000 9.005 0.000 0.000 0.000 6.132" Properties=species:S:1:pos:R:3 pbc="T T T"
Ho 1.285 0.562 0.991
Ho 1.285 3.941 0.991
Ho 2.306 5.065 4.057
Ho 2.306 8.443 4.057
Ho 4.876 0.562 2.075
Ho 4.876 3.941 2.075
Ho 5.898 5.065 5.141
Ho 5.898 8.443 5.141
Sc 0.332 2.251 3.885
Sc 3.260 6.754 0.819
Sc 3.923 2.251 5.313
Sc 6.851 6.754 2.247
Tc 0.846 6.754 5.997
Tc 2.745 2.251 2.931
Tc 4.438 6.754 3.201
Tc 6.336 2.251 0.135
```

Peak list (10 most intense, 2θ = 10–90°, in order of rising 2θ)
2θ = 19.03°, 4.664 Å, I = 56; 2θ = 28.81°, 3.099 Å, I = 48; 2θ = 31.73°, 2.820 Å, I = 74; 2θ = 31.87°, 2.808 Å, I = 41; 2θ = 33.25°, 2.695 Å, I = 100; 2θ = 35.15°, 2.553 Å, I = 58; 2θ = 35.57°, 2.524 Å, I = 80; 2θ = 37.64°, 2.390 Å, I = 53; 2θ = 39.11°, 2.303 Å, I = 62; 2θ = 40.44°, 2.230 Å, I = 35



4.
Calculated X-ray diffraction stick pattern
Compound: HoSc2Te4
Radiation: CuKα
Structure: DFT lattice parameters and positions (PBE)

Atomic structure:
```
14
Lattice="2.066 -6.851 0.000 2.066 6.851 0.000 0.000 0.000 14.459" Properties=species:S:1:pos:R:3 pbc="T T T"
Ho 2.066 5.112 10.844
Ho 2.066 -5.112 3.615
Sc 2.066 1.761 8.190
Sc 2.066 1.761 13.498
Sc 2.066 -1.761 0.961
Sc 2.066 -1.761 6.269
Te 0.000 0.000 0.000
Te 0.000 0.000 7.229
Te 2.066 3.085 1.705
Te 2.066 3.085 5.524
Te 2.066 0.537 10.844
Te 2.066 -0.537 3.615
Te 2.066 -3.085 8.935
Te 2.066 -3.085 12.753
```

Peak list (10 most intense, 2θ = 10–90°, in order of rising 2θ)
2θ = 14.31°, 6.191 Å, I = 28; 2θ = 27.91°, 3.197 Å, I = 94; 2θ = 29.20°, 3.059 Å, I = 64; 2θ = 29.80°, 2.998 Å, I = 100; 2θ = 31.71°, 2.822 Å, I = 96; 2θ = 38.55°, 2.335 Å, I = 56; 2θ = 41.46°, 2.178 Å, I = 27; 2θ = 43.84°, 2.065 Å, I = 81; 2θ = 52.75°, 1.735 Å, I = 31; 2θ = 53.50°, 1.713 Å, I = 26



5.
Calculated X-ray diffraction stick pattern
Compound: Ho3ScTe3
Radiation: CuKα
Structure: DFT lattice parameters and positions (PBE)

Atomic structure:
```
28
Lattice="13.653 0.000 0.000 0.000 4.070 0.000 0.000 0.000 13.721" Properties=species:S:1:pos:R:3 pbc="T T T"
Ho 0.595 1.017 1.791
Ho 2.139 3.052 7.093
Ho 3.253 3.052 11.013
Ho 3.573 1.017 4.152
Ho 4.687 1.017 0.233
Ho 6.232 3.052 8.651
Ho 7.421 1.017 5.069
Ho 8.965 3.052 13.488
Ho 10.080 3.052 9.568
Ho 10.400 1.017 2.708
Ho 11.514 1.017 6.628
Ho 13.058 3.052 11.929
Sc 0.960 1.017 9.612
Sc 5.866 3.052 2.751
Sc 7.786 1.017 10.969
Sc 12.693 3.052 4.109
Te 0.756 1.017 5.170
Te 1.665 1.017 12.591
Te 2.983 3.052 1.933
Te 3.843 1.017 8.793
Te 5.162 3.052 5.731
Te 6.070 3.052 12.031
Te 7.583 1.017 1.690
Te 8.491 1.017 7.990
Te 9.810 3.052 4.927
Te 10.670 1.017 11.788
Te 11.988 3.052 1.129
Te 12.897 3.052 8.550
```

Peak list (10 most intense, 2θ = 10–90°, in order of rising 2θ)
2θ = 29.20°, 3.059 Å, I = 40; 2θ = 30.13°, 2.966 Å, I = 100; 2θ = 32.24°, 2.776 Å, I = 54; 2θ = 32.71°, 2.738 Å, I = 18; 2θ = 34.29°, 2.615 Å, I = 60; 2θ = 34.88°, 2.572 Å, I = 27; 2θ = 36.71°, 2.448 Å, I = 29; 2θ = 40.31°, 2.237 Å, I = 22; 2θ = 41.84°, 2.159 Å, I = 29; 2θ = 44.51°, 2.036 Å, I = 52



6.
Calculated X-ray diffraction stick pattern
Compound: Ho2Th5Sc4
Radiation: CuKα
Structure: DFT lattice parameters and positions (PBE)

Atomic structure:
```
11
Lattice="3.417 0.000 0.000 1.708 8.516 0.000 0.004 1.057 11.125" Properties=species:S:1:pos:R:3 pbc="T T T"
Ho 0.849 1.006 1.131
Ho 4.280 8.567 9.995
Th 0.857 3.645 3.273
Th 2.555 6.375 4.866
Th 2.562 4.258 0.000
Th 2.574 3.198 6.260
Th 4.272 5.928 7.852
Sc 0.861 2.900 9.127
Sc 2.573 8.877 7.064
Sc 2.555 0.696 4.061
Sc 4.268 6.673 1.998
```

Peak list (10 most intense, 2θ = 10–90°, in order of rising 2θ)
2θ = 10.44°, 8.477 Å, I = 45; 2θ = 27.14°, 3.285 Å, I = 26; 2θ = 30.91°, 2.893 Å, I = 35; 2θ = 31.43°, 2.846 Å, I = 48; 2θ = 31.96°, 2.800 Å, I = 100; 2θ = 32.03°, 2.794 Å, I = 32; 2θ = 32.93°, 2.720 Å, I = 61; 2θ = 33.58°, 2.669 Å, I = 49; 2θ = 33.93°, 2.642 Å, I = 65; 2θ = 49.61°, 1.838 Å, I = 24